Calculated PXRD pattern
Compound: VGeF5
Radiation: Cu Kα X-rays
Structure: a structure optimized by DFT (GGA+U)
Kinematic intensities with the Lorentz-polarization factor, no thermal factor.

Peak list (10 most intense, 2θ = 5–70°, in order of falling intensity)
2θ (°)  I (rel.)
26.70  100.0
22.31  84.0
25.18  48.5
45.31  24.1
45.52  23.0
50.84  20.2
28.13  19.0
33.14  18.1
56.20  17.6
52.73  15.6

Atomic structure:
Lattice parameters (Å, degrees): 5.516 5.516 7.629 105.01 105.01 79.75
Sites, in units of the cell vectors:
V 0.000 0.000 0.000
V 0.000 0.000 0.500
Ge 0.469 0.531 0.750
Ge 0.531 0.469 0.250
F 0.081 0.919 0.250
F 0.185 0.290 0.576
F 0.227 0.681 0.908
F 0.290 0.185 0.076
F 0.319 0.773 0.592
F 0.681 0.227 0.408
F 0.710 0.815 0.924
F 0.773 0.319 0.092
F 0.815 0.710 0.424
F 0.919 0.081 0.750